1.
For Ce2Zn15Pt2, a structure optimized by DFT (GGA-PBE) gives the theoretical X-ray diffraction stick pattern in this record (Cu Kα, 1.54184 Å).

Top 10 peaks for 2θ = 5–70°, low angle first:
2θ/deg	d [Å]	I_rel
13.14	6.739	46
19.63	4.522	30
34.35	2.611	68
35.54	2.526	64
39.87	2.261	100
40.14	2.246	53
40.94	2.204	80
41.19	2.191	41
45.07	2.012	57
58.47	1.578	34

Crystal structure
abc: 6.8327 6.8327 6.8327
angles: 82.88 82.88 82.88
Fractional coordinates of all 19 atoms:
Ce1 0.1623 0.1623 0.1623
Ce2 0.8377 0.8377 0.8377
Zn1 0.0000 0.5000 0.5000
Zn2 0.1484 0.1484 0.6575
Zn3 0.1484 0.6575 0.1484
Zn4 0.2154 0.5000 0.7846
Zn5 0.2154 0.7846 0.5000
Zn6 0.3425 0.8516 0.8516
Zn7 0.5000 0.0000 0.5000
Zn8 0.5000 0.2154 0.7846
Zn9 0.5000 0.5000 0.0000
Zn10 0.5000 0.7846 0.2154
Zn11 0.6575 0.1484 0.1484
Zn12 0.7846 0.2154 0.5000
Zn13 0.7846 0.5000 0.2154
Zn14 0.8516 0.3425 0.8516
Zn15 0.8516 0.8516 0.3425
Pt1 0.3852 0.3852 0.3852
Pt2 0.6148 0.6148 0.6148

=====

2.
For Ce3Pu, a structure optimized by DFT (GGA-PBE) gives the theoretical X-ray diffraction stick pattern in this record (Cu Kα, 1.54184 Å).

Top 10 peaks for 2θ = 5–70°, low angle first:
2θ/deg	d [Å]	I_rel
17.77	4.993	14
31.51	2.840	14
31.74	2.819	37
32.15	2.784	17
35.39	2.536	100
35.98	2.496	27
43.27	2.091	13
45.81	1.981	12
58.93	1.567	19
66.65	1.403	11

Crystal structure
abc: 6.5008 6.5008 6.5008
angles: 150.58 59.72 129.28
Fractional coordinates of all 4 atoms:
Ce1 0.0000 0.0000 0.0000
Ce2 0.3505 0.5783 0.7722
Ce3 0.8061 0.5783 0.2278
Pu1 0.4218 0.9218 0.5000

=====

3.
For Ce5Pu2, a structure optimized by DFT (GGA-PBE) gives the theoretical X-ray diffraction stick pattern in this record (Cu Kα, 1.54184 Å).

Top 10 peaks for 2θ = 5–70°, low angle first:
2θ/deg	d [Å]	I_rel
33.25	2.695	100
38.23	2.354	17
38.65	2.330	17
38.86	2.318	16
55.49	1.656	12
55.65	1.652	12
65.96	1.416	14
66.53	1.405	14
66.81	1.400	13
69.80	1.347	12

Crystal structure
abc: 5.7134 5.7134 7.3311
angles: 97.25 97.25 48.67
Fractional coordinates of all 7 atoms:
Ce1 0.0000 0.0000 0.0000
Ce2 0.1439 0.1439 0.4232
Ce3 0.4273 0.4273 0.2821
Ce4 0.5727 0.5727 0.7179
Ce5 0.8561 0.8561 0.5768
Pu1 0.2830 0.2830 0.8598
Pu2 0.7170 0.7170 0.1402

=====

What did the first record say?
For Ce2Zn15Pt2, a structure optimized by DFT (GGA-PBE) gives the theoretical X-ray diffraction stick pattern in this record (Cu Kα, 1.54184 Å).

Top 10 peaks for 2θ = 5–70°, low angle first:
2θ/deg	d [Å]	I_rel
13.14	6.739	46
19.63	4.522	30
34.35	2.611	68
35.54	2.526	64
39.87	2.261	100
40.14	2.246	53
40.94	2.204	80
41.19	2.191	41
45.07	2.012	57
58.47	1.578	34

Crystal structure
abc: 6.8327 6.8327 6.8327
angles: 82.88 82.88 82.88
Fractional coordinates of all 19 atoms:
Ce1 0.1623 0.1623 0.1623
Ce2 0.8377 0.8377 0.8377
Zn1 0.0000 0.5000 0.5000
Zn2 0.1484 0.1484 0.6575
Zn3 0.1484 0.6575 0.1484
Zn4 0.2154 0.5000 0.7846
Zn5 0.2154 0.7846 0.5000
Zn6 0.3425 0.8516 0.8516
Zn7 0.5000 0.0000 0.5000
Zn8 0.5000 0.2154 0.7846
Zn9 0.5000 0.5000 0.0000
Zn10 0.5000 0.7846 0.2154
Zn11 0.6575 0.1484 0.1484
Zn12 0.7846 0.2154 0.5000
Zn13 0.7846 0.5000 0.2154
Zn14 0.8516 0.3425 0.8516
Zn15 0.8516 0.8516 0.3425
Pt1 0.3852 0.3852 0.3852
Pt2 0.6148 0.6148 0.6148